# Sm2Ho6Th3
Calculated powder XRD pattern, Cu Ka. Input: a DFT-relaxed cell (GGA-PBE, Alexandria).
Intensities are scaled so that the largest is 100.

Peak list (12 most intense, 10 to 90 degrees two-theta, most intense first)
2θ (°), I (rel.)
33.11, 100
30.05, 51
31.72, 33
61.62, 30
37.73, 29
51.34, 27
50.09, 12
57.42, 11
62.45, 11
57.36, 11
28.97, 8
65.33, 8

a = 6.1631 Å, b = 6.1631 Å, c = 11.2843 Å
α = 90.05°, β = 90.05°, γ = 119.93°
Positions (direct):
Sm: 0.1674 0.8326 0.0000
Sm: 0.8326 0.1674 0.0000
Ho: 0.1683 0.4987 0.2545
Ho: 0.1707 0.1707 0.7462
Ho: 0.4987 0.1683 0.2545
Ho: 0.5013 0.8317 0.7455
Ho: 0.8293 0.8293 0.2538
Ho: 0.8317 0.5013 0.7455
Th: 0.1664 0.8336 0.5000
Th: 0.5000 0.5000 0.5000
Th: 0.8336 0.1664 0.5000